Record 1
Starting from a DFT-relaxed cell (PBE, the Materials Project), the X-ray diffraction stick pattern of CeAg2 was simulated for Cu Kα (weighted mean of Kα1 and Kα2).
No peak broadening, texture or thermal motion is included.

Main lines, low angle first (10° ≤ 2θ ≤ 90°):
2theta, Rel. int.
35.02, 100
36.26, 63
36.50, 31
51.19, 11
51.43, 22
64.34, 11
64.49, 11
64.75, 11
65.53, 11
70.03, 17

Atomic structure:
abc: 4.924 8.601 3.198
angles: 90.00 90.00 90.00
Space group Cmmm (No. 65)
One atom of each set of equivalent atoms:
Ce: 0.000 0.000 0.000
Ag: 0.000 0.333 0.500

=====

Record 2
Starting from a DFT-relaxed cell (PBE, the Materials Project), the X-ray diffraction stick pattern of CeAg was simulated for Cu Kα (weighted mean of Kα1 and Kα2).
No peak broadening, texture or thermal motion is included.

Main lines, low angle first (10° ≤ 2θ ≤ 90°):
2theta, Rel. int.
34.01, 100
38.83, 17
39.80, 32
56.82, 22
57.55, 11
67.23, 13
68.56, 25
71.60, 11
83.33, 2
85.81, 3

Atomic structure:
abc: 3.203 3.203 4.639
angles: 90.00 90.00 90.00
Space group P4/mmm (No. 123)
One atom of each set of equivalent atoms:
Ce: 0.000 0.000 0.000
Ag: 0.500 0.500 0.500

=====

Record 3
Starting from a DFT-relaxed cell (PBE, the Materials Project), the X-ray diffraction stick pattern of CeAg2 was simulated for Cu Kα (weighted mean of Kα1 and Kα2).
No peak broadening, texture or thermal motion is included.

Main lines, low angle first (10° ≤ 2θ ≤ 90°):
2theta, Rel. int.
35.02, 100
36.26, 63
36.50, 31
51.19, 11
51.43, 22
64.34, 11
64.49, 10
64.75, 11
65.53, 11
70.03, 17

Atomic structure:
abc: 4.924 6.396 8.601
angles: 90.00 90.00 90.00
Space group Imma (No. 74)
One atom of each set of equivalent atoms:
Ce: 0.000 0.250 0.005
Ag: 0.000 0.006 0.667